(1)
# Li5Ce2Pb4
Theoretical powder diffractogram, CuKα. Input: a DFT-relaxed cell (PBE, Alexandria).

Largest 8 diffraction maxima, by angle, 2θ from 5° to 70°:
10.44°, 8.471 Å, rel. 32.3
20.97°, 4.236 Å, rel. 64.0
28.88°, 3.092 Å, rel. 48.8
29.01°, 3.078 Å, rel. 61.1
32.71°, 2.738 Å, rel. 100.0
35.96°, 2.497 Å, rel. 37.2
47.49°, 1.915 Å, rel. 25.1
53.65°, 1.708 Å, rel. 25.1

Lattice parameters (Å, degrees): 10.0697 9.0180 6.2604 80.25 61.96 37.79
Positions (direct):
Li  0.0000  0.0000  0.0000
Li  0.0000  0.0000  0.5000
Li  0.2500  0.2500  0.2500
Li  0.5000  0.5000  0.0000
Li  0.7500  0.7500  0.7500
Ce  0.3251  0.3251  0.6749
Ce  0.6749  0.6749  0.3251
Pb  0.0075  0.7196  0.2804
Pb  0.2804  0.9925  0.0075
Pb  0.7196  0.0075  0.9925
Pb  0.9925  0.2804  0.7196

(2)
# Co2Te4Pd
Theoretical powder diffractogram, CuKα. Input: a DFT-relaxed cell (PBE, Alexandria).

Largest 8 diffraction maxima, by angle, 2θ from 5° to 70°:
23.25°, 3.825 Å, rel. 24.4
27.34°, 3.262 Å, rel. 28.3
28.58°, 3.123 Å, rel. 74.2
33.05°, 2.710 Å, rel. 24.1
33.15°, 2.702 Å, rel. 48.4
43.38°, 2.086 Å, rel. 16.9
43.50°, 2.080 Å, rel. 31.7
47.54°, 1.913 Å, rel. 100.0

Lattice parameters (Å, degrees): 7.6544 7.6544 7.6544 120.10 120.10 89.83
Positions (direct):
Co  0.0000  0.0000  0.0000
Co  0.0000  0.0000  0.5000
Co  0.0000  0.5000  0.0000
Co  0.5000  0.0000  0.5000
Te  0.2070  0.2352  0.9718
Te  0.2352  0.2070  0.4718
Te  0.2352  0.7634  0.0282
Te  0.2366  0.7648  0.4718
Te  0.7634  0.2352  0.5282
Te  0.7648  0.2366  0.9718
Te  0.7648  0.7930  0.5282
Te  0.7930  0.7648  0.0282
Pd  0.3750  0.6250  0.7500
Pd  0.6250  0.3750  0.2500

(3)
# K2Ca2US6
Theoretical powder diffractogram, CuKα. Input: a DFT-relaxed cell (PBE, Alexandria).

Largest 8 diffraction maxima, by angle, 2θ from 5° to 70°:
11.87°, 7.457 Å, rel. 100.0
15.11°, 5.862 Å, rel. 75.3
16.52°, 5.365 Å, rel. 24.9
18.98°, 4.675 Å, rel. 43.1
29.79°, 2.999 Å, rel. 43.1
30.31°, 2.949 Å, rel. 80.5
41.34°, 2.184 Å, rel. 40.0
44.65°, 2.029 Å, rel. 35.8

Lattice parameters (Å, degrees): 6.9624 6.9624 7.8416 99.03 99.03 119.03
Positions (direct):
K  0.1730  0.8270  0.0000
K  0.8270  0.1730  0.0000
Ca  0.3346  0.6654  0.5000
Ca  0.6654  0.3346  0.5000
U  0.0000  0.0000  0.5000
S  0.0654  0.3718  0.6958
S  0.2334  0.2334  0.3051
S  0.3718  0.0654  0.6958
S  0.6282  0.9346  0.3042
S  0.7666  0.7666  0.6949
S  0.9346  0.6282  0.3042

(4)
# IrRu5W4
Theoretical powder diffractogram, CuKα. Input: a DFT-relaxed cell (PBE, Alexandria).

Largest 8 diffraction maxima, by angle, 2θ from 5° to 70°:
39.97°, 2.256 Å, rel. 100.0
40.08°, 2.250 Å, rel. 99.0
46.23°, 1.964 Å, rel. 32.8
46.31°, 1.961 Å, rel. 33.6
47.12°, 1.929 Å, rel. 31.2
67.51°, 1.387 Å, rel. 21.2
67.99°, 1.379 Å, rel. 10.3
68.24°, 1.374 Å, rel. 30.7

Lattice parameters (Å, degrees): 7.3221 7.3221 5.4936 101.81 101.81 31.06
Positions (direct):
Ir  0.0000  0.0000  0.0000
Ru  0.0000  0.0000  0.5000
Ru  0.1981  0.1981  0.5988
Ru  0.4005  0.4005  0.2013
Ru  0.5995  0.5995  0.7987
Ru  0.8019  0.8019  0.4012
W  0.2033  0.2033  0.1019
W  0.4022  0.4022  0.6885
W  0.5978  0.5978  0.3115
W  0.7967  0.7967  0.8981